No. 1
Diffraction record for LiZn2In. The X-ray diffraction stick pattern is theoretical, not measured: it uses a GGA-PBE-relaxed structure and λ = 1.5418 Å (Cu Kα).

Atomic structure:
```
data_LiZn2In
_chemical_formula_sum 'Li4 Zn8 In4'
_symmetry_space_group_name_H-M 'C m c m'
_symmetry_Int_Tables_number 63
_symmetry_space_group_name_Hall '-C 2c 2'
_cell_length_a 4.5904
_cell_length_b 8.3905
_cell_length_c 7.5997
_cell_angle_alpha 90.00
_cell_angle_beta 90.00
_cell_angle_gamma 90.00
loop_
_atom_site_label
_atom_site_fract_x
_atom_site_fract_y
_atom_site_fract_z
Li1 0.0000 0.0927 0.2500
Zn1 0.0000 0.2562 0.5836
In1 0.0000 0.4200 0.2500
```

The 6 most intense peaks (10° ≤ 2θ ≤ 90°), in order of rising 2θ:
(hkl)	2θ (°)	intensity
1 1 0	22.07	66
0 2 2	31.77	45
1 1 2	32.39	42
2 0 0	39.25	48
1 3 1	39.55	100
1 1 3	42.14	91

No. 2
Diffraction record for Li6ZnIn. The X-ray diffraction stick pattern is theoretical, not measured: it uses a GGA-PBE-relaxed structure and λ = 1.5418 Å (Cu Kα).

Atomic structure:
```
data_Li6ZnIn
_chemical_formula_sum 'Li12 Zn2 In2'
_symmetry_space_group_name_H-M 'A m m 2'
_symmetry_Int_Tables_number 38
_cell_length_a 4.5581
_cell_length_b 6.6927
_cell_length_c 9.1192
_cell_angle_alpha 90.00
_cell_angle_beta 90.00
_cell_angle_gamma 90.00
loop_
_symmetry_equiv_pos_as_xyz
'x,y,z'
'-x,-y,z'
'-x,y,z'
'x,-y,z'
'x,y+1/2,z+1/2'
'-x,-y+1/2,z+1/2'
'-x,y+1/2,z+1/2'
'x,-y+1/2,z+1/2'
loop_
_atom_site_label
_atom_site_fract_x
_atom_site_fract_y
_atom_site_fract_z
Li1 0.0000 0.0000 0.0000
Li2 0.0000 0.2369 0.2717
Li3 0.5000 0.0000 0.2879
Li4 0.5000 0.2491 0.5247
Zn1 0.0000 0.0000 0.5355
In1 0.5000 0.0000 0.7690
```

The 6 most intense peaks (10° ≤ 2θ ≤ 90°), in order of rising 2θ:
(hkl)	2θ (°)	intensity
0 1 1	16.43	100
1 1 1	25.58	58
1 0 2	27.67	49
1 1 3	38.04	30
1 2 2	38.79	60
2 0 0	39.54	28